1.
For ZrNb2Fe2, a structure optimized by DFT (GGA-PBE) gives the computed powder XRD pattern in this record (copper Kα).

Structural model:
```
data_ZrNb2Fe2
_symmetry_space_group_name_H-M 'P 1'
_symmetry_Int_Tables_number 1
_cell_length_a 7.480
_cell_length_b 7.480
_cell_length_c 2.861
_cell_angle_alpha 90.00
_cell_angle_beta 90.00
_cell_angle_gamma 90.00
loop_
_symmetry_equiv_pos_as_xyz
'x,y,z'
loop_
_atom_site_label
_atom_site_type_symbol
_atom_site_fract_x
_atom_site_fract_y
_atom_site_fract_z
_atom_site_occupancy
Zr1 Zr 0.000 0.000 0.000 1
Zr2 Zr 0.500 0.500 0.000 1
Nb1 Nb 0.149 0.351 0.000 1
Nb2 Nb 0.351 0.851 0.000 1
Nb3 Nb 0.649 0.149 0.000 1
Nb4 Nb 0.851 0.649 0.000 1
Fe1 Fe 0.144 0.644 0.500 1
Fe2 Fe 0.356 0.144 0.500 1
Fe3 Fe 0.644 0.856 0.500 1
Fe4 Fe 0.856 0.356 0.500 1
```

Top 10 peaks for 5 to 70 degrees two-theta, sorted by position:
| 2θ (°) | d_spacing | I_rel |
| --- | --- | --- |
| 26.65 | 3.345 | 9.5 |
| 31.26 | 2.861 | 13.5 |
| 33.90 | 2.645 | 10.7 |
| 38.04 | 2.365 | 81.6 |
| 41.53 | 2.174 | 100.0 |
| 50.03 | 1.823 | 18.7 |
| 54.64 | 1.680 | 8.9 |
| 54.89 | 1.673 | 10.3 |
| 60.42 | 1.532 | 9.4 |
| 65.21 | 1.431 | 8.9 |

=====

2.
For FeAg2Br, a structure optimized by DFT (GGA-PBE) gives the computed powder XRD pattern in this record (copper Kα).

Structural model:
```
data_FeAg2Br
_symmetry_space_group_name_H-M 'P 1'
_symmetry_Int_Tables_number 1
_cell_length_a 3.492
_cell_length_b 3.329
_cell_length_c 7.154
_cell_angle_alpha 90.00
_cell_angle_beta 90.91
_cell_angle_gamma 90.00
loop_
_symmetry_equiv_pos_as_xyz
'x,y,z'
loop_
_atom_site_label
_atom_site_type_symbol
_atom_site_fract_x
_atom_site_fract_y
_atom_site_fract_z
_atom_site_occupancy
Fe1 Fe 0.000 0.000 0.000 1
Ag1 Ag 0.494 0.500 0.817 1
Ag2 Ag 0.987 0.000 0.609 1
Br1 Br 0.011 0.500 0.260 1
```

Top 10 peaks for 5 to 70 degrees two-theta, sorted by position:
| 2θ (°) | d_spacing | I_rel |
| --- | --- | --- |
| 12.37 | 7.153 | 60.5 |
| 25.51 | 3.492 | 27.2 |
| 35.65 | 2.518 | 23.4 |
| 36.89 | 2.437 | 100.0 |
| 37.32 | 2.409 | 40.6 |
| 39.33 | 2.291 | 58.2 |
| 39.60 | 2.276 | 52.0 |
| 45.74 | 1.984 | 26.6 |
| 46.46 | 1.955 | 26.1 |
| 52.41 | 1.746 | 23.4 |

=====

3.
For Cu2As2PbO10, a structure optimized by DFT (GGA-PBE) gives the computed powder XRD pattern in this record (copper Kα).

Structural model:
```
data_Cu2As2PbO10
_symmetry_space_group_name_H-M 'P 1'
_symmetry_Int_Tables_number 1
_cell_length_a 5.558
_cell_length_b 5.558
_cell_length_c 8.208
_cell_angle_alpha 113.37
_cell_angle_beta 113.37
_cell_angle_gamma 66.92
loop_
_symmetry_equiv_pos_as_xyz
'x,y,z'
loop_
_atom_site_label
_atom_site_type_symbol
_atom_site_fract_x
_atom_site_fract_y
_atom_site_fract_z
_atom_site_occupancy
Cu1 Cu 0.000 0.500 0.000 1
Cu2 Cu 0.500 0.000 0.000 1
As1 As 0.074 0.074 0.273 1
As2 As 0.926 0.926 0.727 1
Pb1 Pb 0.500 0.500 0.500 1
O1 O 0.172 0.172 0.139 1
O2 O 0.183 0.718 0.230 1
O3 O 0.217 0.217 0.499 1
O4 O 0.282 0.817 0.770 1
O5 O 0.322 0.322 0.940 1
O6 O 0.678 0.678 0.060 1
O7 O 0.718 0.183 0.230 1
O8 O 0.783 0.783 0.501 1
O9 O 0.817 0.282 0.770 1
O10 O 0.828 0.828 0.861 1
```

Top 10 peaks for 5 to 70 degrees two-theta, sorted by position:
| 2θ (°) | d_spacing | I_rel |
| --- | --- | --- |
| 18.76 | 4.731 | 100.0 |
| 19.24 | 4.613 | 39.7 |
| 26.14 | 3.408 | 94.0 |
| 29.84 | 2.994 | 55.4 |
| 31.72 | 2.821 | 54.8 |
| 32.61 | 2.746 | 57.2 |
| 33.74 | 2.657 | 26.4 |
| 34.82 | 2.576 | 39.1 |
| 36.66 | 2.451 | 37.0 |
| 52.21 | 1.752 | 37.0 |

=====

4.
For TbSmBr3, a structure optimized by DFT (GGA-PBE) gives the computed powder XRD pattern in this record (copper Kα).

Structural model:
```
data_TbSmBr3
_symmetry_space_group_name_H-M 'P 1'
_symmetry_Int_Tables_number 1
_cell_length_a 9.229
_cell_length_b 9.229
_cell_length_c 11.438
_cell_angle_alpha 122.34
_cell_angle_beta 122.34
_cell_angle_gamma 24.81
loop_
_symmetry_equiv_pos_as_xyz
'x,y,z'
loop_
_atom_site_label
_atom_site_type_symbol
_atom_site_fract_x
_atom_site_fract_y
_atom_site_fract_z
_atom_site_occupancy
Tb1 Tb 0.075 0.075 0.457 1
Tb2 Tb 0.925 0.925 0.543 1
Sm1 Sm 0.363 0.363 0.214 1
Sm2 Sm 0.637 0.637 0.786 1
Br1 Br 0.164 0.164 0.007 1
Br2 Br 0.285 0.285 0.381 1
Br3 Br 0.463 0.463 0.755 1
Br4 Br 0.537 0.537 0.245 1
Br5 Br 0.715 0.715 0.619 1
Br6 Br 0.836 0.836 0.993 1
```

Top 10 peaks for 5 to 70 degrees two-theta, sorted by position:
| 2θ (°) | d_spacing | I_rel |
| --- | --- | --- |
| 9.24 | 9.569 | 36.8 |
| 10.21 | 8.663 | 100.0 |
| 26.21 | 3.400 | 60.6 |
| 27.71 | 3.219 | 50.7 |
| 31.46 | 2.844 | 79.2 |
| 31.87 | 2.808 | 75.2 |
| 35.68 | 2.516 | 36.2 |
| 40.71 | 2.216 | 29.5 |
| 42.18 | 2.142 | 36.1 |
| 56.59 | 1.626 | 32.7 |

=====

5.
For Tl2InPb3, a structure optimized by DFT (GGA-PBE) gives the computed powder XRD pattern in this record (copper Kα).

Structural model:
```
data_Tl2InPb3
_symmetry_space_group_name_H-M 'P 1'
_symmetry_Int_Tables_number 1
_cell_length_a 9.566
_cell_length_b 3.420
_cell_length_c 11.849
_cell_angle_alpha 90.00
_cell_angle_beta 104.43
_cell_angle_gamma 90.00
loop_
_symmetry_equiv_pos_as_xyz
'x,y,z'
loop_
_atom_site_label
_atom_site_type_symbol
_atom_site_fract_x
_atom_site_fract_y
_atom_site_fract_z
_atom_site_occupancy
Tl1 Tl 0.018 0.250 0.372 1
Tl2 Tl 0.105 0.250 0.118 1
Tl3 Tl 0.895 0.750 0.882 1
Tl4 Tl 0.982 0.750 0.628 1
In1 In 0.210 0.250 0.871 1
In2 In 0.790 0.750 0.129 1
Pb1 Pb 0.301 0.250 0.624 1
Pb2 Pb 0.387 0.250 0.362 1
Pb3 Pb 0.434 0.750 0.109 1
Pb4 Pb 0.566 0.250 0.891 1
Pb5 Pb 0.613 0.750 0.638 1
Pb6 Pb 0.699 0.750 0.376 1
```

Top 10 peaks for 5 to 70 degrees two-theta, sorted by position:
| 2θ (°) | d_spacing | I_rel |
| --- | --- | --- |
| 27.81 | 3.208 | 56.3 |
| 28.23 | 3.161 | 35.6 |
| 31.18 | 2.869 | 100.0 |
| 31.83 | 2.811 | 87.5 |
| 32.40 | 2.763 | 96.3 |
| 34.64 | 2.590 | 77.1 |
| 37.33 | 2.409 | 50.7 |
| 38.13 | 2.360 | 27.5 |
| 55.13 | 1.666 | 32.0 |
| 63.70 | 1.461 | 30.4 |

=====

6.
For Cs3RuBr7, a structure optimized by DFT (GGA-PBE) gives the computed powder XRD pattern in this record (copper Kα).

Structural model:
```
data_Cs3RuBr7
_symmetry_space_group_name_H-M 'P 1'
_symmetry_Int_Tables_number 1
_cell_length_a 10.692
_cell_length_b 10.692
_cell_length_c 7.610
_cell_angle_alpha 90.00
_cell_angle_beta 90.00
_cell_angle_gamma 90.00
loop_
_symmetry_equiv_pos_as_xyz
'x,y,z'
loop_
_atom_site_label
_atom_site_type_symbol
_atom_site_fract_x
_atom_site_fract_y
_atom_site_fract_z
_atom_site_occupancy
Cs1 Cs 0.000 0.000 0.000 1
Cs2 Cs 0.176 0.324 0.500 1
Cs3 Cs 0.324 0.824 0.500 1
Cs4 Cs 0.500 0.500 0.000 1
Cs5 Cs 0.676 0.176 0.500 1
Cs6 Cs 0.824 0.676 0.500 1
Ru1 Ru 0.000 0.500 0.000 1
Ru2 Ru 0.500 0.000 0.000 1
Br1 Br 0.000 0.000 0.500 1
Br2 Br 0.117 0.617 0.234 1
Br3 Br 0.117 0.617 0.766 1
Br4 Br 0.166 0.334 0.000 1
Br5 Br 0.334 0.834 0.000 1
Br6 Br 0.383 0.117 0.234 1
Br7 Br 0.383 0.117 0.766 1
Br8 Br 0.500 0.500 0.500 1
Br9 Br 0.617 0.883 0.234 1
Br10 Br 0.617 0.883 0.766 1
Br11 Br 0.666 0.166 0.000 1
Br12 Br 0.834 0.666 0.000 1
Br13 Br 0.883 0.383 0.234 1
Br14 Br 0.883 0.383 0.766 1
```

Top 10 peaks for 5 to 70 degrees two-theta, sorted by position:
| 2θ (°) | d_spacing | I_rel |
| --- | --- | --- |
| 11.69 | 7.567 | 27.4 |
| 20.30 | 4.375 | 25.0 |
| 23.53 | 3.780 | 34.8 |
| 26.36 | 3.381 | 54.2 |
| 30.01 | 2.977 | 100.0 |
| 33.41 | 2.682 | 27.1 |
| 34.59 | 2.593 | 18.8 |
| 44.77 | 2.024 | 22.1 |
| 55.65 | 1.652 | 20.9 |
| 57.07 | 1.614 | 19.5 |

=====

7.
For Rb2Cd2Se3, a structure optimized by DFT (GGA-PBE) gives the computed powder XRD pattern in this record (copper Kα).

Structural model:
```
data_Rb2Cd2Se3
_symmetry_space_group_name_H-M 'P 1'
_symmetry_Int_Tables_number 1
_cell_length_a 11.748
_cell_length_b 11.748
_cell_length_c 7.549
_cell_angle_alpha 108.42
_cell_angle_beta 108.42
_cell_angle_gamma 84.08
loop_
_symmetry_equiv_pos_as_xyz
'x,y,z'
loop_
_atom_site_label
_atom_site_type_symbol
_atom_site_fract_x
_atom_site_fract_y
_atom_site_fract_z
_atom_site_occupancy
Rb1 Rb 0.067 0.933 0.750 1
Rb2 Rb 0.214 0.786 0.250 1
Rb3 Rb 0.306 0.485 0.425 1
Rb4 Rb 0.485 0.306 0.925 1
Rb5 Rb 0.515 0.694 0.075 1
Rb6 Rb 0.694 0.515 0.575 1
Rb7 Rb 0.786 0.214 0.750 1
Rb8 Rb 0.933 0.067 0.250 1
Cd1 Cd 0.040 0.580 0.744 1
Cd2 Cd 0.148 0.298 0.802 1
Cd3 Cd 0.298 0.148 0.302 1
Cd4 Cd 0.420 0.960 0.756 1
Cd5 Cd 0.580 0.040 0.244 1
Cd6 Cd 0.702 0.852 0.698 1
Cd7 Cd 0.852 0.702 0.198 1
Cd8 Cd 0.960 0.420 0.256 1
Se1 Se 0.060 0.647 0.439 1
Se2 Se 0.091 0.238 0.084 1
Se3 Se 0.238 0.091 0.584 1
Se4 Se 0.259 0.511 0.927 1
Se5 Se 0.353 0.940 0.061 1
Se6 Se 0.489 0.741 0.573 1
Se7 Se 0.511 0.259 0.427 1
Se8 Se 0.647 0.060 0.939 1
Se9 Se 0.741 0.489 0.073 1
Se10 Se 0.762 0.909 0.416 1
Se11 Se 0.909 0.762 0.916 1
Se12 Se 0.940 0.353 0.561 1
```

Top 10 peaks for 5 to 70 degrees two-theta, sorted by position:
| 2θ (°) | d_spacing | I_rel |
| --- | --- | --- |
| 11.21 | 7.894 | 59.8 |
| 23.47 | 3.790 | 39.8 |
| 23.57 | 3.774 | 97.8 |
| 24.87 | 3.580 | 28.6 |
| 26.25 | 3.395 | 43.3 |
| 28.83 | 3.097 | 59.1 |
| 30.69 | 2.913 | 100.0 |
| 34.20 | 2.622 | 33.4 |
| 37.69 | 2.387 | 29.0 |
| 39.73 | 2.269 | 50.2 |

=====

8.
For Pm2PuRh3, a structure optimized by DFT (GGA-PBE) gives the computed powder XRD pattern in this record (copper Kα).

Structural model:
```
data_Pm2PuRh3
_symmetry_space_group_name_H-M 'P 1'
_symmetry_Int_Tables_number 1
_cell_length_a 3.484
_cell_length_b 3.484
_cell_length_c 10.503
_cell_angle_alpha 90.00
_cell_angle_beta 90.00
_cell_angle_gamma 90.00
loop_
_symmetry_equiv_pos_as_xyz
'x,y,z'
loop_
_atom_site_label
_atom_site_type_symbol
_atom_site_fract_x
_atom_site_fract_y
_atom_site_fract_z
_atom_site_occupancy
Pm1 Pm 0.000 0.000 0.169 1
Pm2 Pm 0.000 0.000 0.831 1
Pu1 Pu 0.000 0.000 0.500 1
Rh1 Rh 0.500 0.500 0.000 1
Rh2 Rh 0.500 0.500 0.345 1
Rh3 Rh 0.500 0.500 0.655 1
```

Top 10 peaks for 5 to 70 degrees two-theta, sorted by position:
| 2θ (°) | d_spacing | I_rel |
| --- | --- | --- |
| 8.42 | 10.503 | 6.7 |
| 25.44 | 3.501 | 2.6 |
| 25.57 | 3.484 | 5.0 |
| 36.41 | 2.468 | 100.0 |
| 44.99 | 2.015 | 2.5 |
| 52.26 | 1.751 | 5.7 |
| 52.54 | 1.742 | 11.8 |
| 59.28 | 1.559 | 2.3 |
| 65.40 | 1.427 | 11.6 |
| 65.58 | 1.423 | 23.8 |

=====

9.
For DyTa2S5, a structure optimized by DFT (GGA-PBE) gives the computed powder XRD pattern in this record (copper Kα).

Structural model:
```
data_DyTa2S5
_symmetry_space_group_name_H-M 'P 1'
_symmetry_Int_Tables_number 1
_cell_length_a 5.621
_cell_length_b 12.074
_cell_length_c 6.661
_cell_angle_alpha 90.00
_cell_angle_beta 90.04
_cell_angle_gamma 90.00
loop_
_symmetry_equiv_pos_as_xyz
'x,y,z'
loop_
_atom_site_label
_atom_site_type_symbol
_atom_site_fract_x
_atom_site_fract_y
_atom_site_fract_z
_atom_site_occupancy
Dy1 Dy 0.000 0.000 0.000 1
Dy2 Dy 0.500 0.500 0.000 1
Ta1 Ta 0.000 0.293 0.000 1
Ta2 Ta 0.000 0.707 0.000 1
Ta3 Ta 0.500 0.207 0.000 1
Ta4 Ta 0.500 0.793 0.000 1
S1 S 0.000 0.500 0.000 1
S2 S 0.161 0.173 0.241 1
S3 S 0.161 0.827 0.241 1
S4 S 0.339 0.327 0.759 1
S5 S 0.339 0.673 0.759 1
S6 S 0.500 0.000 0.000 1
S7 S 0.661 0.327 0.241 1
S8 S 0.661 0.673 0.241 1
S9 S 0.839 0.173 0.759 1
S10 S 0.839 0.827 0.759 1
```

Top 10 peaks for 5 to 70 degrees two-theta, sorted by position:
| 2θ (°) | d_spacing | I_rel |
| --- | --- | --- |
| 13.29 | 6.661 | 100.0 |
| 14.67 | 6.037 | 9.4 |
| 26.77 | 3.331 | 10.6 |
| 27.25 | 3.272 | 11.5 |
| 30.44 | 2.937 | 28.3 |
| 31.84 | 2.810 | 9.6 |
| 32.57 | 2.749 | 9.7 |
| 34.64 | 2.590 | 20.0 |
| 38.57 | 2.334 | 19.7 |
| 42.07 | 2.148 | 13.7 |

=====

10.
For LaTbNd2Tm4, a structure optimized by DFT (GGA-PBE) gives the computed powder XRD pattern in this record (copper Kα).

Structural model:
```
data_LaTbNd2Tm4
_symmetry_space_group_name_H-M 'P 1'
_symmetry_Int_Tables_number 1
_cell_length_a 6.785
_cell_length_b 9.493
_cell_length_c 9.504
_cell_angle_alpha 77.05
_cell_angle_beta 69.17
_cell_angle_gamma 69.14
loop_
_symmetry_equiv_pos_as_xyz
'x,y,z'
loop_
_atom_site_label
_atom_site_type_symbol
_atom_site_fract_x
_atom_site_fract_y
_atom_site_fract_z
_atom_site_occupancy
La1 La 0.000 0.000 0.000 1
La2 La 0.500 0.000 0.000 1
Tb1 Tb 0.000 0.000 0.500 1
Tb2 Tb 0.000 0.500 0.000 1
Nd1 Nd 0.000 0.500 0.500 1
Nd2 Nd 0.500 0.000 0.500 1
Nd3 Nd 0.500 0.500 0.000 1
Nd4 Nd 0.500 0.500 0.500 1
Tm1 Tm 0.248 0.751 0.751 1
Tm2 Tm 0.249 0.251 0.751 1
Tm3 Tm 0.249 0.751 0.251 1
Tm4 Tm 0.250 0.249 0.249 1
Tm5 Tm 0.749 0.752 0.751 1
Tm6 Tm 0.751 0.249 0.749 1
Tm7 Tm 0.751 0.749 0.249 1
Tm8 Tm 0.752 0.249 0.248 1
```

Top 10 peaks for 5 to 70 degrees two-theta, sorted by position:
| 2θ (°) | d_spacing | I_rel |
| --- | --- | --- |
| 26.95 | 3.309 | 67.9 |
| 30.21 | 2.958 | 50.7 |
| 30.37 | 2.943 | 100.0 |
| 40.92 | 2.205 | 44.7 |
| 41.04 | 2.199 | 88.6 |
| 53.77 | 1.705 | 20.3 |
| 61.13 | 1.516 | 20.6 |
| 63.19 | 1.472 | 12.5 |
| 64.55 | 1.444 | 17.5 |
| 64.65 | 1.442 | 17.4 |

=====

11.
For LiSc2ZnAu4, a structure optimized by DFT (GGA-PBE) gives the computed powder XRD pattern in this record (copper Kα).

Structural model:
```
data_LiSc2ZnAu4
_symmetry_space_group_name_H-M 'P 1'
_symmetry_Int_Tables_number 1
_cell_length_a 8.045
_cell_length_b 8.045
_cell_length_c 8.045
_cell_angle_alpha 33.69
_cell_angle_beta 33.69
_cell_angle_gamma 33.69
loop_
_symmetry_equiv_pos_as_xyz
'x,y,z'
loop_
_atom_site_label
_atom_site_type_symbol
_atom_site_fract_x
_atom_site_fract_y
_atom_site_fract_z
_atom_site_occupancy
Li1 Li 0.000 0.000 0.000 1
Sc1 Sc 0.248 0.248 0.248 1
Sc2 Sc 0.752 0.752 0.752 1
Zn1 Zn 0.500 0.500 0.500 1
Au1 Au 0.123 0.123 0.123 1
Au2 Au 0.373 0.373 0.373 1
Au3 Au 0.627 0.627 0.627 1
Au4 Au 0.877 0.877 0.877 1
```

Top 10 peaks for 5 to 70 degrees two-theta, sorted by position:
| 2θ (°) | d_spacing | I_rel |
| --- | --- | --- |
| 27.09 | 3.292 | 100.0 |
| 29.58 | 3.020 | 2.0 |
| 38.62 | 2.331 | 94.8 |
| 38.74 | 2.325 | 93.2 |
| 47.81 | 1.902 | 22.7 |
| 48.00 | 1.895 | 7.3 |
| 55.85 | 1.646 | 32.1 |
| 63.07 | 1.474 | 20.4 |
| 63.23 | 1.471 | 19.7 |
| 69.94 | 1.345 | 49.4 |

=====

12.
For PmY3Er2, a structure optimized by DFT (GGA-PBE) gives the computed powder XRD pattern in this record (copper Kα).

Structural model:
```
data_PmY3Er2
_symmetry_space_group_name_H-M 'P 1'
_symmetry_Int_Tables_number 1
_cell_length_a 6.624
_cell_length_b 6.624
_cell_length_c 8.988
_cell_angle_alpha 98.53
_cell_angle_beta 98.53
_cell_angle_gamma 94.51
loop_
_symmetry_equiv_pos_as_xyz
'x,y,z'
loop_
_atom_site_label
_atom_site_type_symbol
_atom_site_fract_x
_atom_site_fract_y
_atom_site_fract_z
_atom_site_occupancy
Pm1 Pm 0.072 0.928 0.750 1
Pm2 Pm 0.928 0.072 0.250 1
Y1 Y 0.172 0.338 0.006 1
Y2 Y 0.338 0.172 0.506 1
Y3 Y 0.404 0.596 0.750 1
Y4 Y 0.596 0.404 0.250 1
Y5 Y 0.662 0.828 0.494 1
Y6 Y 0.828 0.662 0.994 1
Er1 Er 0.128 0.622 0.375 1
Er2 Er 0.378 0.872 0.125 1
Er3 Er 0.622 0.128 0.875 1
Er4 Er 0.872 0.378 0.625 1
```

Top 10 peaks for 5 to 70 degrees two-theta, sorted by position:
| 2θ (°) | d_spacing | I_rel |
| --- | --- | --- |
| 13.59 | 6.516 | 1.8 |
| 18.23 | 4.866 | 9.0 |
| 31.43 | 2.846 | 100.0 |
| 31.86 | 2.809 | 92.1 |
| 45.36 | 1.999 | 35.9 |
| 52.14 | 1.754 | 7.7 |
| 56.50 | 1.629 | 37.0 |
| 56.76 | 1.622 | 17.1 |
| 62.41 | 1.488 | 26.4 |
| 66.58 | 1.405 | 10.4 |